Theoretical powder X-ray diffraction pattern of KCaInBr4 for Cu Ka, from a DFT-relaxed cell (GGA-PBE, Alexandria).
Kinematic intensities with the Lorentz-polarization factor, no thermal factor.

Structural model:
```
KCaInBr4
1.0
-2.834 2.834 8.351
2.834 -2.834 8.351
2.834 2.834 -8.351
K Ca In Br
1 1 1 4
Cartesian
0.000 0.000 0.000
0.000 0.000 6.051
0.000 0.000 11.957
0.000 0.000 3.220
2.834 0.000 6.231
0.000 0.000 9.022
0.000 2.834 6.231
```

Top 6 peaks for 10 to 90 degrees two-theta, sorted by position:
2θ (°)	Rel. int.
22.2	35.9
24.6	99.4
30.9	72.9
31.6	100.0
32.2	38.0
45.7	55.4